La3U2O10: computed powder diffractogram (Cu Kα X-rays), based on a structure optimized by DFT (PBE).
Kinematic intensities with the Lorentz-polarization factor, no thermal factor.

Structural model:
Cell lengths 6.6724, 6.6724, 8.6097 Å; angles 127.75, 127.75, 49.26 degrees
Atoms (fractional coordinates):
La: 0.0000 0.0000 0.0000
La: 0.3999 0.3999 0.5974
La: 0.6001 0.6001 0.4026
U: 0.1902 0.1902 0.7894
U: 0.8098 0.8098 0.2106
O: 0.0556 0.5252 0.7154
O: 0.1348 0.6496 0.1130
O: 0.2230 0.7770 0.5000
O: 0.3504 0.8652 0.8870
O: 0.4748 0.9444 0.2846
O: 0.5252 0.0556 0.7154
O: 0.6496 0.1348 0.1130
O: 0.7770 0.2230 0.5000
O: 0.8652 0.3504 0.8870
O: 0.9444 0.4748 0.2846

Top 6 peaks for 10° ≤ 2θ ≤ 90°, low angle first:
two_theta  I_rel
27.20  100
28.42  89
32.19  42
32.32  21
46.16  32
46.26  32